Computed powder XRD pattern
Compound: Ho2Fe17C3
Radiation: λ = 1.5418 Å (Cu Kα)
Structure: a cell relaxed with GGA-PBE
Intensities are scaled so that the largest is 100.

Main lines, in order of falling intensity (2θ from 10° to 80°):
2theta	d_spacing	intensity
42.28	2.137	100
41.85	2.159	75
43.59	2.077	49
29.84	2.994	45
36.03	2.493	41
37.57	2.394	29
61.00	1.519	22
43.21	2.094	20
62.00	1.497	20
76.42	1.246	17

Structural model:
Unit cell a=8.6346 b=8.6346 c=12.4654 alpha=90.00 beta=90.00 gamma=120.00
Space group R-3m (No. 166, hexagonal axes)
Symmetry-distinct sites (fractional):
Ho  0.0000  0.0000  0.1582
Fe  0.0000  0.0000  0.4046
Fe  0.0000  0.2838  0.5000
Fe  0.0000  0.5000  0.0000
Fe  0.0073  0.5036  0.3466
C  0.0000  0.5000  0.5000

---

Computed powder XRD pattern
Compound: Tm2Ge5Rh3
Radiation: λ = 1.5418 Å (Cu Kα)
Structure: a cell relaxed with GGA-PBE
Intensities are scaled so that the largest is 100.

Main lines, in order of falling intensity (2θ from 10° to 80°):
2theta	d_spacing	intensity
34.64	2.590	100
42.92	2.107	72
34.52	2.598	46
33.57	2.669	39
35.84	2.505	30
30.31	2.948	15
63.06	1.474	15
29.65	3.013	14
49.43	1.844	14
55.32	1.661	13

Structural model:
Unit cell a=11.518 b=12.053 c=5.901 alpha=90.00 beta=118.57 gamma=90.00
Space group C2/c (No. 15)
Symmetry-distinct sites (fractional):
Tm  0.229  0.137  0.233
Ge  0.000  0.008  0.250
Ge  0.000  0.278  0.250
Ge  0.000  0.288  0.750
Ge  0.167  0.405  0.167
Rh  0.000  0.498  0.750
Rh  0.104  0.143  0.618

---

Computed powder XRD pattern
Compound: Na3H5C2O8
Radiation: λ = 1.5418 Å (Cu Kα)
Structure: a cell relaxed with GGA-PBE
Intensities are scaled so that the largest is 100.

Main lines, in order of falling intensity (2θ from 10° to 80°):
2theta	d_spacing	intensity
33.43	2.680	100
29.05	3.074	42
36.19	2.482	37
28.67	3.114	29
27.35	3.261	27
39.76	2.267	27
44.69	2.028	18
43.88	2.063	17
31.90	2.806	17
52.38	1.747	16

Structural model:
Unit cell a=20.391 b=3.571 c=10.437 alpha=90.00 beta=106.82 gamma=90.00
Space group C2/c (No. 15)
Symmetry-distinct sites (fractional):
Na  0.000  0.247  0.250
Na  0.152  0.339  0.928
H  0.000  0.500  0.000
H  0.191  0.081  0.257
H  0.240  0.275  0.637
C  0.093  0.240  0.605
O  0.054  0.379  0.490
O  0.073  0.247  0.710
O  0.152  0.105  0.604
O  0.212  0.159  0.353